Starting from a crystal structure in OQMD, relaxed with GGA+U, the powder XRD pattern of MgCoSO was calculated for a wavelength of 1.5418 Å.

The 10 most intense peaks (2θ = 15–90°), by angle:
2θ (°), I/Imax
27.15, 80
30.90, 51
32.04, 34
33.75, 100
35.32, 44
35.64, 32
37.15, 72
41.03, 30
46.39, 37
52.69, 30

Cell and atoms:
a = 5.789 Å, b = 7.979 Å, c = 5.310 Å
α = 90.00°, β = 90.00°, γ = 90.00°
Space group Pca2_1 (No. 29)
Symmetry-distinct sites (fractional):
Mg  0.042  0.160  0.000 (multiplicity 4)
Co  0.117  0.586  0.901 (multiplicity 4)
S  0.025  0.151  0.516 (multiplicity 4)
O  0.063  0.603  0.531 (multiplicity 4)